No. 1
For Ca2MnNiO6, DFT lattice parameters and positions (GGA+U) gives the calculated X-ray diffraction stick pattern in this record (a wavelength of 1.5418 Å).
Lines closer than 0.1° are merged.

Top 10 peaks for 2θ from 10° to 90°, low angle first:
- 19.1 deg, intensity 100
- 33.3 deg, intensity 50
- 41.2 deg, intensity 7
- 42.0 deg, intensity 11
- 45.7 deg, intensity 12
- 46.1 deg, intensity 12
- 46.8 deg, intensity 9
- 52.0 deg, intensity 8
- 59.6 deg, intensity 11
- 70.0 deg, intensity 8

Crystal structure
```
Ca2MnNiO6
1.0
4.4103 -4.6559 0.0000
4.4103 4.6559 0.0000
-0.6775 0.0000 6.2623
Ca Mn Ni O
4 2 2 12
direct
0.0000 0.0000 0.0000 Ca
0.1490 0.4989 0.8570 Ca
0.5011 0.8510 0.1430 Ca
0.7664 0.2336 0.5000 Ca
0.3897 0.1119 0.7488 Mn
0.8881 0.6103 0.2512 Mn
0.1398 0.8602 0.5000 Ni
0.6428 0.3572 0.0000 Ni
0.0960 0.1493 0.6801 O
0.1679 0.7188 0.2064 O
0.2812 0.8321 0.7936 O
0.3912 0.1860 0.0506 O
0.4131 0.0223 0.4631 O
0.4713 0.4025 0.7538 O
0.5975 0.5287 0.2462 O
0.6878 0.1028 0.8278 O
0.8140 0.6088 0.9494 O
0.8507 0.9040 0.3199 O
0.8972 0.3122 0.1722 O
0.9777 0.5869 0.5369 O
```

No. 2
For CaMnNiP2O9, DFT lattice parameters and positions (GGA+U) gives the calculated X-ray diffraction stick pattern in this record (a wavelength of 1.5418 Å).
Lines closer than 0.1° are merged.

Top 10 peaks for 2θ from 10° to 90°, low angle first:
- 13.5 deg, intensity 30
- 17.3 deg, intensity 35
- 24.9 deg, intensity 100
- 27.8 deg, intensity 57
- 30.5 deg, intensity 20
- 31.0 deg, intensity 47
- 33.7 deg, intensity 35
- 35.9 deg, intensity 24
- 37.0 deg, intensity 20
- 57.1 deg, intensity 26

Crystal structure
```
CaMnNiP2O9
1.0
14.2566 0.0000 0.0000
0.0000 6.4262 0.0000
0.0000 0.0000 7.4005
Ca Mn Ni P O
4 4 4 8 36
direct
0.2182 0.2500 0.1174 Ca
0.2818 0.7500 0.6174 Ca
0.7182 0.2500 0.3826 Ca
0.7818 0.7500 0.8826 Ca
0.1200 0.2500 0.6517 Mn
0.3800 0.7500 0.1517 Mn
0.6200 0.2500 0.8483 Mn
0.8800 0.7500 0.3483 Mn
0.0000 0.0000 0.0000 Ni
0.0000 0.5000 0.0000 Ni
0.5000 0.0000 0.5000 Ni
0.5000 0.5000 0.5000 Ni
0.0613 0.7500 0.6443 P
0.1933 0.7500 0.1077 P
0.3067 0.2500 0.6077 P
0.4387 0.2500 0.1443 P
0.5613 0.7500 0.8557 P
0.6933 0.7500 0.3923 P
0.8067 0.2500 0.8923 P
0.9387 0.2500 0.3557 P
0.0108 0.2500 0.5056 O
0.0131 0.7500 0.8309 O
0.0570 0.2500 0.8640 O
0.1307 0.5618 0.6305 O
0.1307 0.9382 0.6305 O
0.1338 0.5520 0.1070 O
0.1338 0.9480 0.1070 O
0.2294 0.2500 0.4563 O
0.2403 0.2500 0.7810 O
0.2597 0.7500 0.2810 O
0.2706 0.7500 0.9563 O
0.3662 0.0520 0.6070 O
0.3662 0.4480 0.6070 O
0.3693 0.0618 0.1305 O
0.3693 0.4382 0.1305 O
0.4430 0.7500 0.3640 O
0.4869 0.2500 0.3309 O
0.4892 0.7500 0.0056 O
0.5108 0.2500 0.9944 O
0.5131 0.7500 0.6691 O
0.5570 0.2500 0.6360 O
0.6307 0.5618 0.8695 O
0.6307 0.9382 0.8695 O
0.6338 0.5520 0.3930 O
0.6338 0.9480 0.3930 O
0.7294 0.2500 0.0437 O
0.7403 0.2500 0.7190 O
0.7597 0.7500 0.2190 O
0.7706 0.7500 0.5437 O
0.8662 0.0520 0.8930 O
0.8662 0.4480 0.8930 O
0.8693 0.0618 0.3695 O
0.8693 0.4382 0.3695 O
0.9430 0.7500 0.1360 O
0.9869 0.2500 0.1691 O
0.9892 0.7500 0.4944 O
```

No. 3
For Ca2Pr2MnNiO8, DFT lattice parameters and positions (GGA+U) gives the calculated X-ray diffraction stick pattern in this record (a wavelength of 1.5418 Å).
Lines closer than 0.1° are merged.

Top 10 peaks for 2θ from 10° to 90°, low angle first:
- 17.9 deg, intensity 32
- 21.9 deg, intensity 37
- 32.1 deg, intensity 100
- 32.9 deg, intensity 40
- 33.1 deg, intensity 40
- 44.1 deg, intensity 23
- 44.7 deg, intensity 26
- 47.4 deg, intensity 43
- 58.2 deg, intensity 25
- 58.5 deg, intensity 18

Crystal structure
```
Ca2Pr2MnNiO8
1.0
6.0831 -2.7052 0.0000
6.0831 2.7052 0.0000
-0.0014 0.0000 5.4497
Ca Pr Mn Ni O
2 2 1 1 8
direct
0.0000 0.0000 0.0000 Ca
0.2127 0.2127 0.5070 Ca
0.4938 0.4938 0.4848 Pr
0.7179 0.7179 0.9907 Pr
0.8576 0.8576 0.4938 Mn
0.3544 0.3544 0.9933 Ni
0.0206 0.0206 0.4806 O
0.0982 0.6062 0.2515 O
0.1064 0.6142 0.7363 O
0.1831 0.1831 0.9751 O
0.5299 0.5299 0.0150 O
0.6062 0.0982 0.2515 O
0.6142 0.1064 0.7363 O
0.6890 0.6890 0.5066 O
```

No. 4
For CaMn2O4, DFT lattice parameters and positions (GGA+U) gives the calculated X-ray diffraction stick pattern in this record (a wavelength of 1.5418 Å).
Lines closer than 0.1° are merged.

Top 10 peaks for 2θ from 10° to 90°, low angle first:
- 11.0 deg, intensity 38
- 27.8 deg, intensity 100
- 30.5 deg, intensity 49
- 35.0 deg, intensity 41
- 36.0 deg, intensity 33
- 40.3 deg, intensity 49
- 48.9 deg, intensity 36
- 49.4 deg, intensity 47
- 54.7 deg, intensity 30
- 56.5 deg, intensity 29

Crystal structure
```
CaMn2O4
1.0
7.4874 -1.4921 0.0000
7.4874 1.4921 0.0000
-4.8436 0.0000 8.0469
Ca Mn O
2 4 8
direct
0.0000 0.0000 0.0000 Ca
0.6904 0.6904 0.6587 Ca
0.1901 0.1901 0.3405 Mn
0.4878 0.4878 0.3204 Mn
0.7420 0.7420 0.0235 Mn
0.9350 0.9350 0.6266 Mn
0.0872 0.0872 0.4577 O
0.2050 0.2050 0.1177 O
0.2354 0.2354 0.8707 O
0.4500 0.4500 0.5083 O
0.4550 0.4550 0.7877 O
0.5907 0.5907 0.2097 O
0.7685 0.7685 0.4926 O
0.9089 0.9089 0.1685 O
```

No. 5
For CaMn2O4, DFT lattice parameters and positions (GGA+U) gives the calculated X-ray diffraction stick pattern in this record (a wavelength of 1.5418 Å).
Lines closer than 0.1° are merged.

Top 10 peaks for 2θ from 10° to 90°, low angle first:
- 29.2 deg, intensity 21
- 30.6 deg, intensity 28
- 32.5 deg, intensity 100
- 34.6 deg, intensity 31
- 35.2 deg, intensity 25
- 38.6 deg, intensity 38
- 39.7 deg, intensity 58
- 42.9 deg, intensity 45
- 55.7 deg, intensity 26
- 60.8 deg, intensity 28

Crystal structure
```
CaMn2O4
1.0
3.2050 0.0000 0.0000
0.0000 10.1961 0.0000
0.0000 0.0000 9.8094
Ca Mn O
4 8 16
direct
0.1785 0.1491 0.2500 Ca
0.1785 0.3509 0.7500 Ca
0.8215 0.6491 0.2500 Ca
0.8215 0.8509 0.7500 Ca
0.2963 0.6119 0.5687 Mn
0.2963 0.6119 0.9313 Mn
0.2963 0.8881 0.0687 Mn
0.2963 0.8881 0.4313 Mn
0.7037 0.1119 0.5687 Mn
0.7037 0.1119 0.9313 Mn
0.7037 0.3881 0.0687 Mn
0.7037 0.3881 0.4313 Mn
0.0898 0.2500 0.0000 O
0.0898 0.2500 0.5000 O
0.2992 0.5274 0.1084 O
0.2992 0.5274 0.3916 O
0.2992 0.9726 0.6084 O
0.2992 0.9726 0.8916 O
0.3143 0.6866 0.7500 O
0.3143 0.8134 0.2500 O
0.6857 0.1866 0.7500 O
0.6857 0.3134 0.2500 O
0.7008 0.0274 0.1084 O
0.7008 0.0274 0.3916 O
0.7008 0.4726 0.6084 O
0.7008 0.4726 0.8916 O
0.9102 0.7500 0.0000 O
0.9102 0.7500 0.5000 O
```

No. 6
For CaMn7O12, DFT lattice parameters and positions (GGA+U) gives the calculated X-ray diffraction stick pattern in this record (a wavelength of 1.5418 Å).
Lines closer than 0.1° are merged.

Top 10 peaks for 2θ from 10° to 90°, low angle first:
- 33.6 deg, intensity 36
- 33.7 deg, intensity 69
- 33.9 deg, intensity 100
- 48.1 deg, intensity 19
- 48.8 deg, intensity 38
- 60.0 deg, intensity 18
- 60.4 deg, intensity 35
- 60.5 deg, intensity 17
- 60.7 deg, intensity 17
- 60.8 deg, intensity 17

Crystal structure
```
CaMn7O12
1.0
5.3386 -3.7357 0.0000
5.3386 3.7357 0.0000
-0.1431 0.0000 10.5840
Ca Mn O
2 14 24
direct
0.0000 0.0000 0.0000 Ca
0.5000 0.5000 0.5000 Ca
0.0000 0.0000 0.5000 Mn
0.0000 0.5000 0.0000 Mn
0.0000 0.5000 0.5000 Mn
0.2493 0.7491 0.7495 Mn
0.2495 0.2495 0.7499 Mn
0.2509 0.7507 0.2505 Mn
0.2521 0.2521 0.2483 Mn
0.5000 0.0000 0.0000 Mn
0.5000 0.0000 0.5000 Mn
0.5000 0.5000 0.0000 Mn
0.7479 0.7479 0.7517 Mn
0.7491 0.2493 0.7495 Mn
0.7505 0.7505 0.2501 Mn
0.7507 0.2509 0.2505 Mn
0.0191 0.6628 0.8486 O
0.0650 0.0650 0.7547 O
0.1041 0.7195 0.5875 O
0.1634 0.5199 0.3482 O
0.2214 0.6058 0.0908 O
0.2456 0.2456 0.9342 O
0.2548 0.2548 0.5661 O
0.2805 0.8959 0.4125 O
0.3372 0.9809 0.1514 O
0.3942 0.7786 0.9092 O
0.4338 0.4338 0.7429 O
0.4801 0.8366 0.6518 O
0.5199 0.1634 0.3482 O
0.5662 0.5662 0.2571 O
0.6058 0.2214 0.0908 O
0.6628 0.0191 0.8486 O
0.7195 0.1041 0.5875 O
0.7452 0.7452 0.4339 O
0.7544 0.7544 0.0658 O
0.7786 0.3942 0.9092 O
0.8366 0.4801 0.6518 O
0.8959 0.2805 0.4125 O
0.9350 0.9350 0.2453 O
0.9809 0.3372 0.1514 O
```